1.
Simulated X-ray powder pattern
Compound: NiAg2PbS4
Radiation: copper Kα
Structure: a cell relaxed with GGA-PBE

Atomic structure:
a = 10.2181 Å, b = 6.0157 Å, c = 6.0157 Å
α = 112.26°, β = 90.00°, γ = 90.00°
Positions (direct):
Ni1 0.2500 0.1947 0.8053
Ni2 0.7500 0.8053 0.1947
Ag1 0.1042 0.8707 0.1118
Ag2 0.3958 0.8707 0.1118
Ag3 0.6042 0.1118 0.8707
Ag4 0.8958 0.1118 0.8707
Pb1 0.0000 0.4813 0.4813
Pb2 0.5000 0.4813 0.4813
S1 0.0761 0.4060 0.9820
S2 0.2500 0.2114 0.4458
S3 0.2500 0.8186 0.7628
S4 0.4239 0.4060 0.9820
S5 0.5761 0.9820 0.4060
S6 0.7500 0.4458 0.2114
S7 0.7500 0.7628 0.8186
S8 0.9239 0.9820 0.4060

Peak list (10 most intense, 10° ≤ 2θ ≤ 90°, sorted by position)
2θ/deg, Rel. int.
23.64, 70
24.93, 33
26.59, 63
29.96, 100
30.77, 53
34.83, 37
36.77, 68
38.79, 65
41.91, 37
50.93, 31



2.
Simulated X-ray powder pattern
Compound: NiAg2Pd2
Radiation: copper Kα
Structure: a cell relaxed with GGA-PBE

Atomic structure:
a = 7.0038 Å, b = 7.0038 Å, c = 7.0038 Å
α = 148.84°, β = 148.84°, γ = 44.65°
Positions (direct):
Ni1 0.0000 0.0000 0.0000
Ag1 0.2500 0.7500 0.5000
Ag2 0.7500 0.2500 0.5000
Pd1 0.4027 0.4027 0.0000
Pd2 0.5973 0.5973 0.0000

Peak list (10 most intense, 10° ≤ 2θ ≤ 90°, sorted by position)
2θ/deg, Rel. int.
24.64, 27
31.54, 17
36.51, 100
41.83, 15
42.35, 39
44.05, 47
48.39, 42
66.22, 20
82.42, 17
82.87, 17



3.
Simulated X-ray powder pattern
Compound: SiNiAgPd
Radiation: copper Kα
Structure: a cell relaxed with GGA-PBE

Atomic structure:
a = 4.2972 Å, b = 4.2972 Å, c = 4.2972 Å
α = 60.00°, β = 60.00°, γ = 60.00°
Positions (direct):
Si1 0.0000 0.0000 0.0000
Ni1 0.2500 0.2500 0.2500
Ag1 0.5000 0.5000 0.5000
Pd1 0.7500 0.7500 0.7500

Peak list (8 most intense, 10° ≤ 2θ ≤ 90°, sorted by position)
2θ/deg, Rel. int.
25.39, 23
29.39, 1
42.05, 100
49.76, 11
60.98, 16
67.14, 4
76.85, 32
82.47, 3



4.
Simulated X-ray powder pattern
Compound: Pr3Si4Ni2Ag2
Radiation: copper Kα
Structure: a cell relaxed with GGA-PBE

Atomic structure:
a = 12.6472 Å, b = 12.6472 Å, c = 12.6472 Å
α = 161.18°, β = 160.60°, γ = 27.16°
Positions (direct):
Pr1 0.0000 0.0000 0.0000
Pr2 0.3438 0.8438 0.5000
Pr3 0.6562 0.1562 0.5000
Si1 0.2059 0.7059 0.5000
Si2 0.4518 0.4518 0.0000
Si3 0.5482 0.5482 0.0000
Si4 0.7941 0.2941 0.5000
Ni1 0.2497 0.2497 0.0000
Ni2 0.7503 0.7503 0.0000
Ag1 0.1015 0.6015 0.5000
Ag2 0.8985 0.3985 0.5000

Peak list (10 most intense, 10° ≤ 2θ ≤ 90°, sorted by position)
2θ/deg, Rel. int.
23.52, 15
28.19, 18
33.51, 100
39.17, 25
42.40, 21
43.77, 17
55.07, 11
60.17, 14
62.58, 11
68.79, 12



5.
Simulated X-ray powder pattern
Compound: NiAg2S3
Radiation: copper Kα
Structure: a cell relaxed with GGA-PBE

Atomic structure:
a = 6.7552 Å, b = 6.7552 Å, c = 6.6383 Å
α = 98.37°, β = 98.37°, γ = 121.38°
Positions (direct):
Ni1 0.0780 0.9220 0.5000
Ni2 0.9220 0.0780 0.0000
Ag1 0.2502 0.7590 0.9995
Ag2 0.4013 0.5736 0.5032
Ag3 0.5736 0.4013 0.0032
Ag4 0.7590 0.2502 0.4995
S1 0.0332 0.1615 0.3409
S2 0.1615 0.0332 0.8409
S3 0.3416 0.8814 0.3918
S4 0.5776 0.7422 0.8909
S5 0.7422 0.5776 0.3909
S6 0.8814 0.3416 0.8918

Peak list (10 most intense, 10° ≤ 2θ ≤ 90°, sorted by position)
2θ/deg, Rel. int.
28.20, 100
28.26, 33
32.23, 20
33.59, 9
46.23, 24
47.17, 24
47.31, 22
55.02, 27
55.10, 9
56.79, 12



6.
Simulated X-ray powder pattern
Compound: TlNiAgS3
Radiation: copper Kα
Structure: a cell relaxed with GGA-PBE

Atomic structure:
a = 7.0787 Å, b = 7.0787 Å, c = 10.1947 Å
α = 90.00°, β = 90.00°, γ = 151.81°
Positions (direct):
Tl1 0.1927 0.8073 0.7500
Tl2 0.8073 0.1927 0.2500
Ni1 0.5000 0.5000 0.0000
Ni2 0.5000 0.5000 0.5000
Ag1 0.1287 0.8713 0.2500
Ag2 0.8713 0.1287 0.7500
S1 0.1065 0.8935 0.0109
S2 0.1065 0.8935 0.4891
S3 0.4766 0.5234 0.2500
S4 0.5234 0.4766 0.7500
S5 0.8935 0.1065 0.5109
S6 0.8935 0.1065 0.9891

Peak list (10 most intense, 10° ≤ 2θ ≤ 90°, sorted by position)
2θ/deg, Rel. int.
17.40, 67
21.71, 76
27.42, 30
32.51, 100
33.71, 43
35.21, 61
37.11, 37
40.39, 35
45.84, 27
48.68, 62



7.
Simulated X-ray powder pattern
Compound: Ni3AgSb5
Radiation: copper Kα
Structure: a cell relaxed with GGA-PBE

Atomic structure:
a = 5.2787 Å, b = 5.2787 Å, c = 7.9170 Å
α = 90.00°, β = 90.00°, γ = 120.00°
Positions (direct):
Ni1 0.0000 0.5000 0.0000
Ni2 0.5000 0.0000 0.0000
Ni3 0.5000 0.5000 0.0000
Ag1 0.0000 0.0000 0.5000
Sb1 0.0000 0.0000 0.0000
Sb2 0.3333 0.6667 0.2793
Sb3 0.3333 0.6667 0.7207
Sb4 0.6667 0.3333 0.2793
Sb5 0.6667 0.3333 0.7207

Peak list (10 most intense, 10° ≤ 2θ ≤ 90°, sorted by position)
2θ/deg, Rel. int.
29.86, 88
33.97, 100
39.42, 14
41.10, 34
45.84, 91
58.27, 49
60.78, 16
71.49, 20
79.35, 20
89.19, 33



8.
Simulated X-ray powder pattern
Compound: ScSiNiAg
Radiation: copper Kα
Structure: a cell relaxed with GGA-PBE

Atomic structure:
a = 4.4435 Å, b = 4.4435 Å, c = 4.4435 Å
α = 60.00°, β = 60.00°, γ = 60.00°
Positions (direct):
Sc1 0.0000 0.0000 0.0000
Si1 0.2500 0.2500 0.2500
Ni1 0.5000 0.5000 0.5000
Ag1 0.7500 0.7500 0.7500

Peak list (10 most intense, 10° ≤ 2θ ≤ 90°, sorted by position)
2θ/deg, Rel. int.
24.54, 30
28.41, 2
40.61, 100
48.02, 15
58.78, 16
64.65, 6
66.55, 1
73.88, 31
79.21, 4
87.89, 10



9.
Simulated X-ray powder pattern
Compound: Tb2TlNiAg
Radiation: copper Kα
Structure: a cell relaxed with GGA-PBE

Atomic structure:
a = 3.6982 Å, b = 7.6509 Å, c = 7.6509 Å
α = 32.00°, β = 90.00°, γ = 90.00°
Positions (direct):
Tb1 0.0000 0.0000 0.0000
Tb2 0.0000 0.2667 0.2667
Tl1 0.5000 0.6394 0.6394
Ni1 0.5000 0.8294 0.8294
Ag1 0.5000 0.4346 0.4346

Peak list (10 most intense, 10° ≤ 2θ ≤ 90°, sorted by position)
2θ/deg, Rel. int.
27.90, 33
32.78, 100
34.39, 62
37.24, 60
42.88, 26
49.28, 17
56.08, 31
57.61, 15
63.37, 21
67.35, 13



10.
Simulated X-ray powder pattern
Compound: AgP3O8
Radiation: copper Kα
Structure: a cell relaxed with GGA-PBE

Atomic structure:
a = 4.5038 Å, b = 4.5038 Å, c = 7.1720 Å
α = 90.91°, β = 90.91°, γ = 65.64°
Positions (direct):
Ag1 0.0000 0.0000 0.0000
P1 0.0000 0.0000 0.5000
P2 0.3553 0.3553 0.7048
P3 0.6447 0.6447 0.2952
O1 0.2178 0.2178 0.5399
O2 0.2205 0.7329 0.6693
O3 0.2671 0.7795 0.3307
O4 0.2917 0.2917 0.8987
O5 0.7083 0.7083 0.1013
O6 0.7329 0.2205 0.6693
O7 0.7795 0.2671 0.3307
O8 0.7822 0.7822 0.4601

Peak list (10 most intense, 10° ≤ 2θ ≤ 90°, sorted by position)
2θ/deg, Rel. int.
21.66, 68
23.51, 45
25.12, 100
26.42, 38
33.01, 74
33.36, 57
36.82, 32
40.24, 50
44.92, 22
45.89, 23



11.
Simulated X-ray powder pattern
Compound: Ag2P2PbO7
Radiation: copper Kα
Structure: a cell relaxed with GGA-PBE

Atomic structure:
a = 5.4026 Å, b = 6.9623 Å, c = 9.9625 Å
α = 106.54°, β = 93.62°, γ = 110.86°
Positions (direct):
Ag1 0.0841 0.2635 0.0255
Ag2 0.3410 0.6010 0.8038
Ag3 0.6590 0.3990 0.1962
Ag4 0.9159 0.7365 0.9745
P1 0.2644 0.6552 0.3697
P2 0.4922 0.8696 0.1655
P3 0.5078 0.1304 0.8345
P4 0.7356 0.3448 0.6303
Pb1 0.1371 0.1359 0.3764
Pb2 0.8629 0.8641 0.6236
O1 0.0182 0.7104 0.3432
O2 0.2110 0.0339 0.8479
O3 0.2181 0.4209 0.2767
O4 0.3200 0.6569 0.0474
O5 0.3635 0.0390 0.1866
O6 0.3693 0.7013 0.5252
O7 0.4899 0.1844 0.6848
O8 0.5101 0.8156 0.3152
O9 0.6307 0.2987 0.4748
O10 0.6365 0.9610 0.8134
O11 0.6800 0.3431 0.9526
O12 0.7819 0.5791 0.7233
O13 0.7890 0.9661 0.1521
O14 0.9818 0.2896 0.6568

Peak list (10 most intense, 10° ≤ 2θ ≤ 90°, sorted by position)
2θ/deg, Rel. int.
18.06, 35
19.70, 67
28.48, 70
29.03, 100
30.86, 76
31.19, 60
32.65, 27
33.24, 46
35.69, 22
40.11, 29



12.
Simulated X-ray powder pattern
Compound: RbAg2PSe3O
Radiation: copper Kα
Structure: a cell relaxed with GGA-PBE

Atomic structure:
a = 6.6304 Å, b = 6.6304 Å, c = 6.2113 Å
α = 115.94°, β = 115.94°, γ = 96.35°
Positions (direct):
Rb1 0.0000 0.0000 0.0000
Ag1 0.2927 0.8082 0.5697
Ag2 0.8082 0.2927 0.5697
P1 0.5709 0.5709 0.1215
Se1 0.2475 0.2475 0.7217
Se2 0.5110 0.8882 0.0825
Se3 0.8882 0.5110 0.0825
O1 0.6130 0.6130 0.4014

Peak list (10 most intense, 10° ≤ 2θ ≤ 90°, sorted by position)
2θ/deg, Rel. int.
26.20, 20
26.71, 23
27.10, 100
28.80, 41
36.37, 23
38.40, 19
46.31, 21
47.04, 17
47.96, 26
50.53, 22